Calculated powder diffractogram
Compound: MgAs4P4O16
Radiation: a wavelength of 1.5418 Å
Structure: a PBE-relaxed structure

Main lines, sorted by position (2θ from 5° to 70°):
| Position (°2θ) | d [Å] | I_rel |
| --- | --- | --- |
| 13.66 | 6.484 | 73 |
| 19.85 | 4.472 | 75 |
| 21.28 | 4.175 | 100 |
| 21.44 | 4.144 | 48 |
| 22.23 | 3.999 | 51 |
| 23.31 | 3.817 | 40 |
| 26.55 | 3.357 | 47 |
| 27.78 | 3.211 | 83 |
| 29.52 | 3.026 | 69 |
| 35.33 | 2.540 | 55 |

Crystal structure
```
data_MgAs4P4O16
_chemical_formula_sum 'Mg1 As4 P4 O16'
_cell_length_a 8.4042
_cell_length_b 5.0806
_cell_length_c 9.0034
_cell_angle_alpha 90.00
_cell_angle_beta 96.57
_cell_angle_gamma 90.00
_space_group_name_H-M_alt 'P 1 m 1'
_space_group_IT_number 6
loop_
_space_group_symop_operation_xyz
'x,y,z'
'x,-y,z'
loop_
_atom_site_label
_atom_site_fract_x
_atom_site_fract_y
_atom_site_fract_z
Mg1 0.0000 0.0000 0.0000
As1 0.2876 0.5000 0.7190
As2 0.4338 0.5000 0.1995
As3 0.7661 0.0000 0.6261
As4 0.7839 0.0000 0.1956
P1 0.3111 0.0000 0.0382
P2 0.4141 0.0000 0.5502
P3 0.7925 0.5000 0.3536
P4 0.9455 0.5000 0.8015
O1 0.0241 0.5000 0.9606
O2 0.0647 0.5000 0.6777
O3 0.1957 0.0000 0.1557
O4 0.2146 0.0000 0.8818
O5 0.3075 0.2462 0.5770
O6 0.4286 0.2464 0.0514
O7 0.4730 0.0000 0.4009
O8 0.5619 0.0000 0.6826
O9 0.6531 0.5000 0.2149
O10 0.7286 0.5000 0.5042
O11 0.8402 0.2430 0.7822
O12 0.8968 0.2563 0.3247
```